(1)
ZrCuH8O4F6: calculated powder XRD pattern (Cu Kα (λ = 1.5418 Å)), based on a cell relaxed with PBE.
No peak broadening, texture or thermal motion is included.

Most intense lines, 2θ from 10° to 80°, low angle first:
2theta  intensity
17.69  50
19.69  100
23.13  87
23.79  31
32.12  43
36.15  16
39.98  25
43.29  24
45.66  20
51.37  17

Cell and atoms:
a b c (Å): 5.834 10.025 7.632
angles (deg): 90.00 101.37 90.00
Space group P2_1/c (No. 14)
One atom of each set of equivalent atoms:
Zr1 0.000 0.000 0.000 (multiplicity 2)
Cu1 0.500 0.000 0.500 (multiplicity 2)
H1 0.261 0.208 0.516 (multiplicity 4)
H2 0.271 0.133 0.703 (multiplicity 4)
H3 0.277 0.649 0.193 (multiplicity 4)
H4 0.284 0.721 0.008 (multiplicity 4)
O1 0.265 0.119 0.573 (multiplicity 4)
O2 0.372 0.661 0.100 (multiplicity 4)
F1 0.148 0.649 0.372 (multiplicity 4)
F2 0.214 0.140 0.916 (multiplicity 4)
F3 0.245 0.534 0.721 (multiplicity 4)

---

(2)
PmCuH2F8: calculated powder XRD pattern (Cu Kα (λ = 1.5418 Å)), based on a cell relaxed with PBE.
No peak broadening, texture or thermal motion is included.

Most intense lines, 2θ from 10° to 80°, low angle first:
2theta  intensity
11.14  41
19.17  100
22.39  69
25.10  63
25.33  50
26.40  53
31.19  34
32.58  42
39.70  40
41.66  32

Cell and atoms:
a b c (Å): 3.836 5.095 8.146
angles (deg): 99.06 94.98 111.81
Space group P-1 (No. 2)
One atom of each set of equivalent atoms:
Pm1 0.000 0.000 0.000 (multiplicity 1)
Cu1 0.000 0.000 0.500 (multiplicity 1)
H1 0.464 0.455 0.744 (multiplicity 2)
F1 0.116 0.193 0.720 (multiplicity 2)
F2 0.252 0.790 0.553 (multiplicity 2)
F3 0.300 0.371 0.248 (multiplicity 2)
F4 0.366 0.737 0.018 (multiplicity 2)

---

(3)
Hf2Cu2F: calculated powder XRD pattern (Cu Kα (λ = 1.5418 Å)), based on a cell relaxed with PBE.
No peak broadening, texture or thermal motion is included.

Most intense lines, 2θ from 10° to 80°, low angle first:
2theta  intensity
21.19  71
26.67  26
34.31  100
38.07  73
43.98  43
51.45  53
54.94  25
59.54  18
66.39  29
78.60  30

Cell and atoms:
a b c (Å): 4.727 4.727 8.386
angles (deg): 90.00 90.00 90.00
Space group I4/mmm (No. 139)
One atom of each set of equivalent atoms:
Hf1 0.000 0.500 0.250 (multiplicity 4)
Cu1 0.000 0.000 0.128 (multiplicity 4)
F1 0.000 0.000 0.500 (multiplicity 2)

---

(4)
KHfCu2F8: calculated powder XRD pattern (Cu Kα (λ = 1.5418 Å)), based on a cell relaxed with PBE.
No peak broadening, texture or thermal motion is included.

Most intense lines, 2θ from 10° to 80°, low angle first:
2theta  intensity
10.51  33
20.62  45
24.77  100
26.97  30
35.06  33
35.57  44
43.83  18
48.51  21
56.96  23
57.67  18

Cell and atoms:
a b c (Å): 5.0477 5.0477 25.2607
angles (deg): 90.00 90.00 120.00
Space group R32 (No. 155, hexagonal axes)
One atom of each set of equivalent atoms:
K1 0.0000 0.0000 0.0000 (multiplicity 3)
Hf1 0.0000 0.0000 0.5000 (multiplicity 3)
Cu1 0.0000 0.0000 0.2640 (multiplicity 6)
F1 0.0000 0.0000 0.3372 (multiplicity 6)
F2 0.0151 0.3645 0.1163 (multiplicity 18)

---

(5)
KHfCuF7: calculated powder XRD pattern (Cu Kα (λ = 1.5418 Å)), based on a cell relaxed with PBE.
No peak broadening, texture or thermal motion is included.

Most intense lines, 2θ from 10° to 80°, low angle first:
2theta  intensity
12.46  71
16.32  37
17.50  52
20.84  100
26.58  63
27.34  51
27.75  68
29.87  77
36.70  42
52.73  41

Cell and atoms:
a b c (Å): 8.525 12.861 10.138
angles (deg): 90.00 90.00 90.00
Space group Cmcm (No. 63)
One atom of each set of equivalent atoms:
K1 0.239 0.101 0.250 (multiplicity 8)
Hf1 0.000 0.367 0.070 (multiplicity 8)
Cu1 0.000 0.136 0.571 (multiplicity 8)
F1 0.000 0.000 0.000 (multiplicity 4)
F2 0.000 0.079 0.750 (multiplicity 4)
F3 0.000 0.206 0.109 (multiplicity 8)
F4 0.000 0.280 0.615 (multiplicity 8)
F5 0.000 0.476 0.614 (multiplicity 8)
F6 0.136 0.363 0.250 (multiplicity 8)
F7 0.225 0.374 0.014 (multiplicity 16)

---

(6)
CuHg2F: calculated powder XRD pattern (Cu Kα (λ = 1.5418 Å)), based on a cell relaxed with PBE.
No peak broadening, texture or thermal motion is included.

Most intense lines, 2θ from 10° to 80°, low angle first:
2theta  intensity
24.04  51
30.71  64
31.51  57
36.68  100
41.92  71
49.23  19
54.08  43
60.01  28
67.14  17
76.14  32

Cell and atoms:
a b c (Å): 3.3913 3.3913 22.2085
angles (deg): 90.00 90.00 120.00
Space group R3m (No. 160, hexagonal axes)
One atom of each set of equivalent atoms:
Cu1 0.0000 0.0000 0.0000 (multiplicity 3)
Hg1 0.0000 0.0000 0.4168 (multiplicity 3)
Hg2 0.0000 0.0000 0.5823 (multiplicity 3)
F1 0.0000 0.0000 0.8310 (multiplicity 3)

---

(7)
Cu2HgF11: calculated powder XRD pattern (Cu Kα (λ = 1.5418 Å)), based on a cell relaxed with PBE.
No peak broadening, texture or thermal motion is included.

Most intense lines, 2θ from 10° to 80°, low angle first:
2theta  intensity
14.08  83
22.78  100
24.09  17
26.87  99
28.37  33
31.80  23
36.69  27
46.52  33
47.02  26
48.85  33

Cell and atoms:
a b c (Å): 8.881 8.914 9.958
angles (deg): 90.00 90.00 90.00
Space group Ibam (No. 72)
One atom of each set of equivalent atoms:
Cu1 0.204 0.204 0.000 (multiplicity 8)
Hg1 0.000 0.500 0.250 (multiplicity 4)
F1 0.000 0.000 0.000 (multiplicity 4)
F2 0.092 0.293 0.128 (multiplicity 16)
F3 0.143 0.143 0.500 (multiplicity 8)
F4 0.208 0.408 0.372 (multiplicity 16)

---

(8)
Cu2HgF6: calculated powder XRD pattern (Cu Kα (λ = 1.5418 Å)), based on a cell relaxed with PBE.
No peak broadening, texture or thermal motion is included.

Most intense lines, 2θ from 10° to 80°, low angle first:
2theta  intensity
19.00  20
26.46  100
33.23  30
41.88  8
42.97  26
50.54  35
55.37  26
59.37  13
60.45  10
76.04  10

Cell and atoms:
a b c (Å): 5.3926 5.3926 4.8636
angles (deg): 90.00 90.00 120.00
Space group P-31m (No. 162)
One atom of each set of equivalent atoms:
Cu1 0.3333 0.6667 0.0000 (multiplicity 2)
Hg1 0.0000 0.0000 0.5000 (multiplicity 1)
F1 0.0000 0.3592 0.7802 (multiplicity 6)

---

Q: Which formula does entry 1 have?
A: ZrCuH8O4F6